Diffraction record for Co9Ru3O16. The X-ray powder pattern is simulated, not measured: it uses a DFT-relaxed cell (GGA+U, the Materials Project) and CuKα.
Neutral-atom scattering factors, no anomalous dispersion.

Crystal structure
a b c (Å): 6.0132 10.4268 10.4730
angles (deg): 98.96 106.06 90.25
Sites, in units of the cell vectors:
Co (0.0000, 0.0000, 0.0000)
Co (0.0000, 0.5000, 0.0000)
Co (0.0939, 0.0370, 0.6943)
Co (0.1416, 0.7195, 0.8078)
Co (0.2489, 0.2538, 0.9955)
Co (0.2525, 0.7557, 0.5042)
Co (0.2537, 0.2451, 0.4957)
Co (0.3505, 0.7767, 0.2013)
Co (0.4031, 0.4606, 0.3013)
Co (0.5000, 0.0000, 0.5000)
Co (0.5000, 0.5000, 0.0000)
Co (0.5969, 0.5394, 0.6987)
Co (0.6495, 0.2233, 0.7987)
Co (0.7463, 0.7549, 0.5043)
Co (0.7475, 0.2443, 0.4958)
Co (0.7511, 0.7462, 0.0045)
Co (0.8584, 0.2805, 0.1922)
Co (0.9061, 0.9630, 0.3057)
Ru (0.0000, 0.5000, 0.5000)
Ru (0.1223, 0.3784, 0.7451)
Ru (0.3789, 0.1193, 0.2438)
Ru (0.5000, 0.0000, 0.0000)
Ru (0.6211, 0.8807, 0.7562)
Ru (0.8777, 0.6216, 0.2549)
O (0.0459, 0.6787, 0.1331)
O (0.0492, 0.6798, 0.6063)
O (0.0644, 0.2063, 0.6264)
O (0.0885, 0.1780, 0.1225)
O (0.1744, 0.5623, 0.3760)
O (0.1918, 0.5492, 0.8678)
O (0.2061, 0.0634, 0.3626)
O (0.2090, 0.0645, 0.8949)
O (0.2964, 0.4383, 0.6207)
O (0.3101, 0.4390, 0.1028)
O (0.3197, 0.9410, 0.1223)
O (0.3334, 0.9342, 0.6370)
O (0.4141, 0.3249, 0.8671)
O (0.4346, 0.2906, 0.3629)
O (0.4438, 0.8204, 0.8804)
O (0.4483, 0.8181, 0.3983)
O (0.5517, 0.1819, 0.6017)
O (0.5562, 0.1796, 0.1196)
O (0.5654, 0.7094, 0.6371)
O (0.5859, 0.6751, 0.1329)
O (0.6666, 0.0658, 0.3630)
O (0.6803, 0.0590, 0.8777)
O (0.6899, 0.5610, 0.8972)
O (0.7036, 0.5617, 0.3793)
O (0.7910, 0.9355, 0.1051)
O (0.7939, 0.9366, 0.6374)
O (0.8082, 0.4508, 0.1322)
O (0.8256, 0.4377, 0.6240)
O (0.9115, 0.8220, 0.8775)
O (0.9356, 0.7937, 0.3736)
O (0.9508, 0.3202, 0.3937)
O (0.9541, 0.3213, 0.8669)

Largest 6 diffraction maxima, low angle first, 10 to 90 degrees two-theta:
2θ = 18.0°, intensity 80
2θ = 34.7°, intensity 58
2θ = 34.7°, intensity 65
2θ = 34.9°, intensity 100
2θ = 35.1°, intensity 76
2θ = 42.2°, intensity 52

---

Diffraction record for SrSmMn4O12. The X-ray powder pattern is simulated, not measured: it uses a DFT-relaxed cell (GGA+U, the Materials Project) and CuKα.
Neutral-atom scattering factors, no anomalous dispersion.

Crystal structure
a b c (Å): 5.3629 5.3629 7.5841
angles (deg): 90.00 90.00 90.00
Sites, in units of the cell vectors:
Sr (0.0000, 0.0000, 0.0000)
Sm (0.5000, 0.5000, 0.5000)
Mn (0.0000, 0.5000, 0.2481)
Mn (0.0000, 0.5000, 0.7519)
Mn (0.5000, 0.0000, 0.2481)
Mn (0.5000, 0.0000, 0.7519)
O (0.0000, 0.5000, 0.0000)
O (0.0000, 0.5000, 0.5000)
O (0.2582, 0.2582, 0.2621)
O (0.2582, 0.2582, 0.7379)
O (0.2582, 0.7418, 0.2621)
O (0.2582, 0.7418, 0.7379)
O (0.5000, 0.0000, 0.0000)
O (0.5000, 0.0000, 0.5000)
O (0.7418, 0.2582, 0.2621)
O (0.7418, 0.2582, 0.7379)
O (0.7418, 0.7418, 0.2621)
O (0.7418, 0.7418, 0.7379)

Largest 6 diffraction maxima, low angle first, 10 to 90 degrees two-theta:
2θ = 20.3°, intensity 85
2θ = 33.4°, intensity 100
2θ = 39.4°, intensity 46
2θ = 48.0°, intensity 46
2θ = 59.7°, intensity 38
2θ = 70.2°, intensity 25

---

Diffraction record for Na5LiFe2P2C2O14. The X-ray powder pattern is simulated, not measured: it uses a DFT-relaxed cell (GGA+U, the Materials Project) and CuKα.
Neutral-atom scattering factors, no anomalous dispersion.

Crystal structure
a b c (Å): 8.9875 6.5903 10.3978
angles (deg): 90.00 91.15 90.00
Sites, in units of the cell vectors:
Na (0.0000, 0.9995, 0.0000)
Na (0.0000, 0.0005, 0.5000)
Na (0.1656, 0.4968, 0.2396)
Na (0.1656, 0.5032, 0.7396)
Na (0.3447, 0.2513, 0.4949)
Na (0.3447, 0.2509, 0.9951)
Na (0.3447, 0.7491, 0.4951)
Na (0.3447, 0.7487, 0.9949)
Na (0.8240, 0.2479, 0.7444)
Na (0.8240, 0.7521, 0.2444)
Li (0.8130, 0.2462, 0.2424)
Li (0.8130, 0.7538, 0.7424)
Fe (0.4405, 0.9995, 0.2271)
Fe (0.4405, 0.0005, 0.7271)
Fe (0.7311, 0.4978, 0.0131)
Fe (0.7311, 0.5022, 0.5131)
P (0.5013, 0.4956, 0.2707)
P (0.5013, 0.5044, 0.7707)
P (0.6730, 0.0041, 0.4702)
P (0.6730, 0.9959, 0.9702)
C (0.0239, 0.4981, 0.4842)
C (0.0239, 0.5019, 0.9842)
C (0.1388, 0.0067, 0.2537)
C (0.1388, 0.9933, 0.7537)
O (0.1677, 0.4999, 0.4767)
O (0.1677, 0.5001, 0.9767)
O (0.2038, 0.0005, 0.6425)
O (0.2038, 0.9995, 0.1425)
O (0.2215, 0.0013, 0.8583)
O (0.2215, 0.9987, 0.3583)
O (0.4023, 0.3107, 0.2296)
O (0.4023, 0.6893, 0.7296)
O (0.4108, 0.3135, 0.7260)
O (0.4108, 0.6865, 0.2260)
O (0.5176, 0.9996, 0.0310)
O (0.5176, 0.0004, 0.5310)
O (0.5184, 0.5001, 0.4201)
O (0.5184, 0.4999, 0.9201)
O (0.6570, 0.0120, 0.3200)
O (0.6570, 0.4838, 0.2102)
O (0.6570, 0.5162, 0.7102)
O (0.6570, 0.9880, 0.8200)
O (0.7660, 0.1903, 0.5165)
O (0.7660, 0.8097, 0.0165)
O (0.7668, 0.1854, 0.0116)
O (0.7668, 0.8146, 0.5116)
O (0.9403, 0.4945, 0.3802)
O (0.9403, 0.5055, 0.8802)
O (0.9619, 0.4993, 0.0965)
O (0.9619, 0.5007, 0.5965)
O (0.9952, 0.0210, 0.2598)
O (0.9952, 0.9790, 0.7598)

Largest 6 diffraction maxima, low angle first, 10 to 90 degrees two-theta:
2θ = 27.1°, intensity 100
2θ = 29.8°, intensity 37
2θ = 33.6°, intensity 38
2θ = 33.8°, intensity 77
2θ = 34.5°, intensity 69
2θ = 49.1°, intensity 39

---

Diffraction record for Rb2VO2F4. The X-ray powder pattern is simulated, not measured: it uses a DFT-relaxed cell (GGA+U, the Materials Project) and CuKα.
Neutral-atom scattering factors, no anomalous dispersion.

Crystal structure
a b c (Å): 6.3703 6.3703 8.6917
angles (deg): 90.00 90.00 84.35
Sites, in units of the cell vectors:
Rb (0.2401, 0.2401, 0.0000)
Rb (0.2401, 0.2401, 0.5000)
Rb (0.7599, 0.7599, 0.0000)
Rb (0.7599, 0.7599, 0.5000)
V (0.2586, 0.7414, 0.7500)
V (0.7414, 0.2586, 0.2500)
O (0.0622, 0.9378, 0.7500)
O (0.4893, 0.5107, 0.7500)
O (0.5107, 0.4893, 0.2500)
O (0.9378, 0.0622, 0.2500)
F (0.0656, 0.5320, 0.7500)
F (0.2925, 0.7075, 0.5378)
F (0.2925, 0.7075, 0.9622)
F (0.4680, 0.9344, 0.7500)
F (0.5320, 0.0656, 0.2500)
F (0.7075, 0.2925, 0.0378)
F (0.7075, 0.2925, 0.4622)
F (0.9344, 0.4680, 0.2500)

Largest 6 diffraction maxima, low angle first, 10 to 90 degrees two-theta:
2θ = 17.3°, intensity 89
2θ = 27.9°, intensity 72
2θ = 28.2°, intensity 76
2θ = 29.3°, intensity 74
2θ = 35.0°, intensity 100
2θ = 38.1°, intensity 40